The following is a calculated powder X-ray diffraction pattern of MoN. It was derived from the GGA-PBE geometry in the Materials Project, using Cu Kα (weighted mean of Kα1 and Kα2).
Lines closer than 0.1° are merged.

Largest 6 diffraction maxima, by intensity, 2θ = 15–90°:
Position (°2θ)	I_rel	index
47.55	100	1 1 0
33.12	84	1 0 0
88.57	33	2 1 1
79.19	29	2 1 0
59.17	21	1 1 1
69.51	15	2 0 0

Atomic structure:
Cell lengths 2.7045, 2.7045, 2.7045 Å; angles 90.00, 90.00, 90.00 degrees
Space group Pm-3m (No. 221)
Unique sites:
Mo  0.0000  0.0000  0.0000 (multiplicity 1)
N  0.5000  0.5000  0.5000 (multiplicity 1)